This entry pairs a crystal structure of KHg3OsS4 with its theoretical powder X-ray diffraction pattern. Radiation: Cu Kα (weighted mean of Kα1 and Kα2). Structure: a DFT-relaxed cell (PBE, OQMD).
Lines closer than 0.1° are merged.

Structural model:
```
data_KHg3OsS4
_chemical_formula_sum 'K1 Hg3 Os1 S4'
_symmetry_space_group_name_H-M 'P -4 3 m'
_symmetry_Int_Tables_number 215
_symmetry_space_group_name_Hall 'P -4 2 3'
_cell_length_a 7.378
_cell_length_b 7.378
_cell_length_c 7.378
_cell_angle_alpha 90.00
_cell_angle_beta 90.00
_cell_angle_gamma 90.00
loop_
_atom_site_label
_atom_site_fract_x
_atom_site_fract_y
_atom_site_fract_z
_atom_site_occupancy
K1 0.000 0.000 0.000 1
Hg1 0.000 0.500 0.500 1
Os1 0.500 0.500 0.500 1
S1 0.330 0.330 0.330 1
```

Top 10 peaks for 10 to 80 degrees two-theta, in order of rising 2θ:
2θ (°), d [Å], intensity, h k l
11.99, 7.378, 100, 1 0 0
20.85, 4.260, 46, 1 1 1
24.12, 3.689, 68, 2 0 0
27.02, 3.300, 35, 2 1 0
34.38, 2.609, 74, 2 2 0
36.54, 2.459, 25, 2 2 1
40.55, 2.225, 30, 3 1 1
42.44, 2.130, 24, 2 2 2
55.71, 1.650, 37, 4 2 0
61.58, 1.506, 25, 4 2 2